The following is a calculated powder diffraction line list of Li3V3B2O10. It was derived from DFT lattice parameters and positions (PBE+U), using CuKα.
Peak positions follow from Bragg's law for the DFT cell and can differ from measured ones.

Crystal structure
a b c (Å): 3.014 9.338 12.165
angles (deg): 88.53 89.76 89.26
Element x y z (fractional)
Li: 0.000 0.000 0.000
Li: 0.000 0.486 0.215
Li: 0.001 0.004 0.718
Li: 0.005 0.019 0.441
Li: 0.502 0.501 0.720
Li: 0.505 0.273 0.335
V: 0.001 0.497 0.498
V: 0.005 0.498 0.937
V: 0.483 0.767 0.610
V: 0.486 0.007 0.221
V: 0.499 0.740 0.106
V: 0.521 0.236 0.828
B: 0.500 0.227 0.575
B: 0.502 0.273 0.089
B: 0.503 0.730 0.351
B: 0.504 0.771 0.860
O: 0.003 0.414 0.378
O: 0.003 0.613 0.065
O: 0.012 0.100 0.279
O: 0.015 0.379 0.798
O: 0.020 0.880 0.574
O: 0.484 0.163 0.680
O: 0.497 0.125 0.083
O: 0.498 0.651 0.458
O: 0.499 0.844 0.956
O: 0.501 0.651 0.259
O: 0.503 0.352 0.178
O: 0.504 0.156 0.482
O: 0.504 0.347 0.979
O: 0.504 0.386 0.572
O: 0.504 0.619 0.863
O: 0.512 0.875 0.356
O: 0.514 0.842 0.759
O: 0.984 0.121 0.864
O: 0.988 0.622 0.638
O: 0.996 0.886 0.150

Main lines, by angle (10° ≤ 2θ ≤ 80°):
hkl 0 1 1, 2θ = 11.80°, rel. 36; hkl 0 1 -2, 2θ = 17.61°, rel. 100; hkl 0 0 3, 2θ = 21.93°, rel. 17; hkl 1 0 0, 2θ = 29.64°, rel. 17; hkl 0 2 4, 2θ = 34.80°, rel. 20; hkl 1 2 0, 2θ = 35.24°, rel. 26; hkl 1 -2 0, 2θ = 35.66°, rel. 44; hkl 0 2 5, 2θ = 41.43°, rel. 22; hkl 1 3 -2, 2θ = 44.46°, rel. 18; hkl 2 0 0, 2θ = 61.55°, rel. 20